# 1
Na5P2Au: calculated powder XRD pattern (Cu Kα (λ = 1.5418 Å)), based on a crystal structure in Alexandria, relaxed with PBE.
Neutral-atom scattering factors, no anomalous dispersion.

Crystal structure
Unit cell a=5.027 b=5.027 c=17.457 alpha=90.00 beta=90.00 gamma=120.00
Sites, in units of the cell vectors:
Na: 0.000 0.000 0.137
Na: 0.000 0.000 0.363
Na: 0.000 0.000 0.637
Na: 0.000 0.000 0.863
Na: 0.333 0.667 0.051
Na: 0.333 0.667 0.250
Na: 0.333 0.667 0.449
Na: 0.667 0.333 0.551
Na: 0.667 0.333 0.750
Na: 0.667 0.333 0.949
P: 0.333 0.667 0.614
P: 0.333 0.667 0.886
P: 0.667 0.333 0.114
P: 0.667 0.333 0.386
Au: 0.333 0.667 0.750
Au: 0.667 0.333 0.250

Most intense lines, 2θ from 5° to 70°, by intensity:
2θ/deg  Rel. int.
21.03  1000
10.13  870
35.73  651
41.77  487
37.20  454
25.56  399
20.39  348
28.97  283
56.12  278
47.82  235

# 2
SrMg15: calculated powder XRD pattern (Cu Kα (λ = 1.5418 Å)), based on a crystal structure in Alexandria, relaxed with PBE.
Neutral-atom scattering factors, no anomalous dispersion.

Crystal structure
Unit cell a=6.595 b=6.595 c=10.527 alpha=90.00 beta=90.00 gamma=120.00
Sites, in units of the cell vectors:
Sr: 0.000 0.000 0.000
Mg: 0.000 0.000 0.500
Mg: 0.012 0.506 0.000
Mg: 0.170 0.340 0.260
Mg: 0.170 0.340 0.740
Mg: 0.170 0.830 0.260
Mg: 0.170 0.830 0.740
Mg: 0.494 0.506 0.000
Mg: 0.494 0.988 0.000
Mg: 0.502 0.004 0.500
Mg: 0.502 0.498 0.500
Mg: 0.660 0.830 0.260
Mg: 0.660 0.830 0.740
Mg: 0.667 0.333 0.240
Mg: 0.667 0.333 0.760
Mg: 0.996 0.498 0.500

Most intense lines, 2θ from 5° to 70°, by intensity:
2θ/deg  Rel. int.
35.77  1000
31.32  253
34.07  249
66.97  191
62.09  179
55.75  176
46.95  156
68.03  140
17.67  118
8.40  86

# 3
K2SnCl4O: calculated powder XRD pattern (Cu Kα (λ = 1.5418 Å)), based on a crystal structure in Alexandria, relaxed with PBE.
Neutral-atom scattering factors, no anomalous dispersion.

Crystal structure
Unit cell a=8.714 b=12.166 c=4.140 alpha=90.00 beta=90.00 gamma=90.00
Sites, in units of the cell vectors:
K: 0.065 0.147 0.000
K: 0.435 0.647 0.000
K: 0.565 0.353 0.000
K: 0.935 0.853 0.000
Sn: 0.000 0.500 0.500
Sn: 0.500 0.000 0.500
Cl: 0.135 0.693 0.500
Cl: 0.182 0.433 0.000
Cl: 0.318 0.933 0.000
Cl: 0.365 0.193 0.500
Cl: 0.635 0.807 0.500
Cl: 0.682 0.067 0.000
Cl: 0.818 0.567 0.000
Cl: 0.865 0.307 0.500
O: 0.000 0.000 0.500
O: 0.500 0.500 0.500

Most intense lines, 2θ from 5° to 70°, by intensity:
2θ/deg  Rel. int.
12.50  1000
24.91  759
33.29  694
30.68  448
24.21  418
14.56  409
36.66  363
49.60  352
44.16  343
38.58  332

# 4
Cs2KAgSb: calculated powder XRD pattern (Cu Kα (λ = 1.5418 Å)), based on a crystal structure in Alexandria, relaxed with PBE.
Neutral-atom scattering factors, no anomalous dispersion.

Crystal structure
Unit cell a=7.144 b=7.144 c=5.282 alpha=90.00 beta=90.00 gamma=90.00
Sites, in units of the cell vectors:
Cs: 0.000 0.500 0.000
Cs: 0.500 0.000 0.000
K: 0.000 0.000 0.500
Ag: 0.500 0.500 0.000
Sb: 0.500 0.500 0.500

Most intense lines, 2θ from 5° to 70°, by intensity:
2θ/deg  Rel. int.
24.93  1000
24.38  707
12.39  632
42.57  465
35.54  391
43.57  290
49.97  288
33.95  222
68.67  218
27.93  193

# 5
LaBeCuH6: calculated powder XRD pattern (Cu Kα (λ = 1.5418 Å)), based on a crystal structure in Alexandria, relaxed with PBE.
Neutral-atom scattering factors, no anomalous dispersion.

Crystal structure
Unit cell a=4.406 b=4.406 c=4.394 alpha=90.00 beta=90.00 gamma=120.00
Sites, in units of the cell vectors:
La: 0.000 0.000 0.000
Be: 0.667 0.333 0.500
Cu: 0.333 0.667 0.500
H: 0.508 0.016 0.239
H: 0.508 0.016 0.761
H: 0.508 0.492 0.239
H: 0.508 0.492 0.761
H: 0.984 0.492 0.239
H: 0.984 0.492 0.761

Most intense lines, 2θ from 5° to 70°, by intensity:
2θ/deg  Rel. int.
31.04  1000
23.31  364
40.97  306
52.28  227
59.42  206
68.48  196
47.77  120
68.64  98
41.09  97
64.67  89